This entry pairs a crystal structure of RbSb5Se8 with its simulated X-ray diffraction stick pattern. Radiation: Cu Kα (weighted mean of Kα1 and Kα2). Structure: a PBE-relaxed structure.
Kinematic intensities with the Lorentz-polarization factor, no thermal factor.

Largest 10 diffraction maxima, in order of rising 2θ, 15° ≤ 2θ ≤ 90°:
| d/Å | Position (°2θ) | Rel. int. |
| --- | --- | --- |
| 3.221 | 27.69 | 75 |
| 3.207 | 27.82 | 100 |
| 3.069 | 29.09 | 58 |
| 2.730 | 32.81 | 42 |
| 2.589 | 34.64 | 81 |
| 2.562 | 35.02 | 40 |
| 2.306 | 39.07 | 31 |
| 2.287 | 39.39 | 41 |
| 2.056 | 44.04 | 49 |
| 2.050 | 44.17 | 88 |

Crystal structure
```
RbSb5Se8
1.0
10.6444 -2.0561 0.0000
10.6444 2.0561 0.0000
-2.4870 0.0000 10.0050
Rb Sb Se
1 5 8
direct
0.0000 0.0000 0.0000 Rb
0.1559 0.1559 0.4665 Sb
0.2051 0.2051 0.8408 Sb
0.4998 0.4998 0.4982 Sb
0.7943 0.7943 0.1552 Sb
0.8437 0.8437 0.5297 Sb
0.0756 0.0756 0.6567 Se
0.2660 0.2660 0.3410 Se
0.3334 0.3334 0.0010 Se
0.4171 0.4171 0.6847 Se
0.5825 0.5825 0.3115 Se
0.6661 0.6661 0.9950 Se
0.7335 0.7335 0.6551 Se
0.9239 0.9239 0.3396 Se
```